Entry 1:
Calculated XRD peak list of Tb4Dy3Th2 for a wavelength of 1.5418 Å, from a DFT-relaxed cell (GGA-PBE, Alexandria).
Peak positions follow from Bragg's law for the DFT cell and can differ from measured ones.

Cell: 3.5567 3.5567 26.5105 Å, 90.00 90.00 120.00°
Space group P3m1 (No. 156)
Unique sites:
1 Tb 0.0000 0.0000 0.0000 [1 per cell]
2 Tb 0.0000 0.0000 0.2149 [1 per cell]
3 Tb 0.3333 0.6667 0.3232 [1 per cell]
4 Tb 0.3333 0.6667 0.5402 [1 per cell]
5 Dy 0.0000 0.0000 0.4311 [1 per cell]
6 Dy 0.3333 0.6667 0.1060 [1 per cell]
7 Dy 0.3333 0.6667 0.7614 [1 per cell]
8 Th 0.0000 0.0000 0.6502 [1 per cell]
9 Th 0.0000 0.0000 0.8717 [1 per cell]

The 10 most intense peaks (10 to 80 degrees two-theta), by intensity:
| two_theta | I/Imax |
| --- | --- |
| 33.7 | 1000 |
| 32.0 | 585 |
| 29.0 | 488 |
| 30.3 | 474 |
| 60.8 | 401 |
| 51.4 | 368 |
| 57.1 | 327 |
| 42.5 | 313 |
| 62.8 | 168 |
| 30.7 | 130 |

Entry 2:
Calculated XRD peak list of PuCrB14 for a wavelength of 1.5418 Å, from a DFT-relaxed cell (GGA-PBE, Alexandria).
Peak positions follow from Bragg's law for the DFT cell and can differ from measured ones.

Cell: 5.8440 10.6927 8.2430 Å, 90.00 90.00 90.00°
Space group Imma (No. 74)
Unique sites:
1 Pu 0.0000 0.2500 0.1316 [4 per cell]
2 Cr 0.2500 0.2500 0.7500 [4 per cell]
3 B 0.0000 0.0849 0.6694 [8 per cell]
4 B 0.0000 0.1304 0.8694 [8 per cell]
5 B 0.0000 0.1669 0.4681 [8 per cell]
6 B 0.1605 0.0614 0.3390 [16 per cell]
7 B 0.2481 0.0786 0.5478 [16 per cell]

The 10 most intense peaks (10 to 80 degrees two-theta), by intensity:
| two_theta | I/Imax |
| --- | --- |
| 16.6 | 1000 |
| 27.8 | 972 |
| 33.6 | 781 |
| 25.0 | 715 |
| 41.5 | 648 |
| 36.7 | 607 |
| 13.6 | 590 |
| 18.6 | 455 |
| 40.0 | 360 |
| 35.0 | 254 |

Entry 3:
Calculated XRD peak list of PmAsH2Pd for a wavelength of 1.5418 Å, from a DFT-relaxed cell (GGA-PBE, Alexandria).
Peak positions follow from Bragg's law for the DFT cell and can differ from measured ones.

Cell: 3.8924 3.8924 5.2453 Å, 90.00 90.00 90.00°
Space group P4mm (No. 99)
Unique sites:
1 Pm 0.0000 0.0000 0.0000 [1 per cell]
2 As 0.5000 0.5000 0.8180 [1 per cell]
3 H 0.0000 0.5000 0.3226 [2 per cell]
4 Pd 0.5000 0.5000 0.3289 [1 per cell]

The 10 most intense peaks (10 to 80 degrees two-theta), by intensity:
| two_theta | I/Imax |
| --- | --- |
| 32.5 | 1000 |
| 41.5 | 828 |
| 28.6 | 731 |
| 64.2 | 449 |
| 16.9 | 378 |
| 46.7 | 374 |
| 55.6 | 225 |
| 36.9 | 223 |
| 77.6 | 162 |
| 47.9 | 143 |

Entry 4:
Calculated XRD peak list of K4Rb2GaGe2 for a wavelength of 1.5418 Å, from a DFT-relaxed cell (GGA-PBE, Alexandria).
Peak positions follow from Bragg's law for the DFT cell and can differ from measured ones.

Cell: 15.0373 8.3665 6.2464 Å, 90.00 108.73 90.00°
Space group C2/m (No. 12)
Unique sites:
1 K 0.1333 0.2217 0.2028 [8 per cell]
2 Rb 0.1379 0.5000 0.7279 [4 per cell]
3 Ga 0.0000 0.0000 0.5000 [2 per cell]
4 Ge 0.1651 0.0000 0.7242 [4 per cell]

The 10 most intense peaks (10 to 80 degrees two-theta), by intensity:
| two_theta | I/Imax |
| --- | --- |
| 26.8 | 1000 |
| 31.1 | 417 |
| 25.0 | 266 |
| 16.1 | 266 |
| 28.7 | 221 |
| 30.2 | 202 |
| 21.2 | 200 |
| 32.6 | 159 |
| 50.1 | 151 |
| 33.2 | 144 |

Entry 5:
Calculated XRD peak list of PmGaPdO4 for a wavelength of 1.5418 Å, from a DFT-relaxed cell (GGA-PBE, Alexandria).
Peak positions follow from Bragg's law for the DFT cell and can differ from measured ones.

Cell: 6.1170 9.0505 7.1800 Å, 90.00 90.00 90.00°
Space group Cmcm (No. 63)
Unique sites:
1 Pm 0.0000 0.0000 0.0000 [4 per cell]
2 Ga 0.0000 0.3689 0.2500 [4 per cell]
3 Pd 0.0000 0.2970 0.7500 [4 per cell]
4 O 0.0000 0.2593 0.0311 [8 per cell]
5 O 0.2468 0.4933 0.2500 [8 per cell]

The 10 most intense peaks (10 to 80 degrees two-theta), by intensity:
| two_theta | I/Imax |
| --- | --- |
| 30.5 | 1000 |
| 33.1 | 673 |
| 29.2 | 588 |
| 43.7 | 431 |
| 31.8 | 271 |
| 50.9 | 241 |
| 62.0 | 212 |
| 52.6 | 211 |
| 54.3 | 180 |
| 56.7 | 176 |

Entry 6:
Calculated XRD peak list of Li6SmSi2 for a wavelength of 1.5418 Å, from a DFT-relaxed cell (GGA-PBE, Alexandria).
Peak positions follow from Bragg's law for the DFT cell and can differ from measured ones.

Cell: 4.1894 4.1894 9.6289 Å, 90.00 90.00 90.00°
Space group P4/mmm (No. 123)
Unique sites:
1 Li 0.0000 0.0000 0.0000 [1 per cell]
2 Li 0.0000 0.5000 0.2221 [4 per cell]
3 Li 0.5000 0.5000 0.0000 [1 per cell]
4 Sm 0.0000 0.0000 0.5000 [1 per cell]
5 Si 0.5000 0.5000 0.3788 [2 per cell]

The 10 most intense peaks (10 to 80 degrees two-theta), by intensity:
| two_theta | I/Imax |
| --- | --- |
| 31.6 | 1000 |
| 28.2 | 844 |
| 35.2 | 766 |
| 23.2 | 719 |
| 35.6 | 704 |
| 30.2 | 645 |
| 18.4 | 562 |
| 43.4 | 518 |
| 56.9 | 381 |
| 44.3 | 360 |

Entry 7:
Calculated XRD peak list of Cd2InAsO6 for a wavelength of 1.5418 Å, from a DFT-relaxed cell (GGA-PBE, Alexandria).
Peak positions follow from Bragg's law for the DFT cell and can differ from measured ones.

Cell: 5.2639 5.2639 5.0230 Å, 90.00 90.00 90.00°
Space group P4mm (No. 99)
Unique sites:
1 Cd 0.0000 0.5000 0.0000 [2 per cell]
2 In 0.0000 0.0000 0.5473 [1 per cell]
3 As 0.5000 0.5000 0.5969 [1 per cell]
4 O 0.0000 0.0000 0.1414 [1 per cell]
5 O 0.2667 0.2667 0.7137 [4 per cell]
6 O 0.5000 0.5000 0.2514 [1 per cell]

The 10 most intense peaks (10 to 80 degrees two-theta), by intensity:
| two_theta | I/Imax |
| --- | --- |
| 29.9 | 1000 |
| 34.1 | 343 |
| 58.4 | 287 |
| 50.2 | 239 |
| 48.9 | 203 |
| 35.8 | 106 |
| 17.7 | 93 |
| 60.6 | 93 |
| 43.5 | 88 |
| 62.1 | 85 |

Which formula does entry 5 have? PmGaPdO4